# 1
This entry pairs a crystal structure of KInHg2 with its simulated PXRD pattern. Radiation: copper Kα. Structure: a crystal structure in Alexandria, relaxed with GGA-PBE.
Intensities are scaled so that the largest is 100.

Main lines, sorted by position (10 to 90 degrees two-theta):
- 4.911 Å, 2θ 18.1, rel. 33.4
- 2.817 Å, 2θ 31.8, rel. 100.0
- 2.781 Å, 2θ 32.2, rel. 25.8
- 2.678 Å, 2θ 33.5, rel. 15.8
- 2.614 Å, 2θ 34.3, rel. 16.7
- 2.092 Å, 2θ 43.3, rel. 11.5
- 1.929 Å, 2θ 47.1, rel. 12.5
- 1.905 Å, 2θ 47.7, rel. 13.2
- 1.612 Å, 2θ 57.1, rel. 18.8
- 1.408 Å, 2θ 66.4, rel. 14.2

```
data_KInHg2
_chemical_formula_sum 'K2 In2 Hg4'
_cell_length_a 4.184
_cell_length_b 5.562
_cell_length_c 10.457
_cell_angle_alpha 90.00
_cell_angle_beta 90.00
_cell_angle_gamma 90.00
_space_group_name_H-M_alt 'I m m 2'
_space_group_IT_number 44
loop_
_space_group_symop_operation_xyz
'x,y,z'
'-x,-y,z'
'-x,y,z'
'x,-y,z'
'x+1/2,y+1/2,z+1/2'
'-x+1/2,-y+1/2,z+1/2'
'-x+1/2,y+1/2,z+1/2'
'x+1/2,-y+1/2,z+1/2'
loop_
_atom_site_label
_atom_site_type_symbol
_atom_site_fract_x
_atom_site_fract_y
_atom_site_fract_z
K1 K 0.000 0.000 0.000
In1 In 0.000 0.500 0.219
Hg1 Hg 0.000 0.000 0.499
Hg2 Hg 0.000 0.500 0.775
```



# 2
This entry pairs a crystal structure of K2InHg8 with its simulated PXRD pattern. Radiation: copper Kα. Structure: a crystal structure in Alexandria, relaxed with GGA-PBE.
Intensities are scaled so that the largest is 100.

Main lines, sorted by position (10 to 90 degrees two-theta):
- 4.039 Å, 2θ 22.0, rel. 19.6
- 3.570 Å, 2θ 24.9, rel. 15.0
- 3.154 Å, 2θ 28.3, rel. 25.3
- 2.794 Å, 2θ 32.0, rel. 100.0
- 2.524 Å, 2θ 35.6, rel. 55.8
- 2.449 Å, 2θ 36.7, rel. 17.2
- 1.842 Å, 2θ 49.5, rel. 19.2
- 1.785 Å, 2θ 51.2, rel. 19.9
- 1.504 Å, 2θ 61.7, rel. 30.9
- 1.158 Å, 2θ 83.4, rel. 16.3

```
data_K2InHg8
_chemical_formula_sum 'K2 In1 Hg8'
_cell_length_a 5.048
_cell_length_b 5.048
_cell_length_c 13.470
_cell_angle_alpha 90.00
_cell_angle_beta 90.00
_cell_angle_gamma 90.00
_space_group_name_H-M_alt 'P 4/m m m'
_space_group_IT_number 123
_space_group_name_Hall '-P 4 2'
loop_
_atom_site_label
_atom_site_type_symbol
_atom_site_fract_x
_atom_site_fract_y
_atom_site_fract_z
K1 K 0.000 0.000 0.185
In1 In 0.000 0.000 0.500
Hg1 Hg 0.000 0.500 0.000
Hg2 Hg 0.000 0.500 0.369
Hg3 Hg 0.500 0.500 0.212
```



# 3
This entry pairs a crystal structure of K2In3Hg6 with its simulated PXRD pattern. Radiation: copper Kα. Structure: a crystal structure in Alexandria, relaxed with GGA-PBE.
Intensities are scaled so that the largest is 100.

Main lines, sorted by position (10 to 90 degrees two-theta):
- 5.782 Å, 2θ 15.3, rel. 23.1
- 4.571 Å, 2θ 19.4, rel. 56.8
- 3.169 Å, 2θ 28.2, rel. 34.4
- 3.095 Å, 2θ 28.8, rel. 38.3
- 2.931 Å, 2θ 30.5, rel. 40.2
- 2.467 Å, 2θ 36.4, rel. 100.0
- 2.285 Å, 2θ 39.4, rel. 26.4
- 2.257 Å, 2θ 39.9, rel. 23.5
- 1.802 Å, 2θ 50.7, rel. 21.5
- 1.351 Å, 2θ 69.6, rel. 25.4

```
data_K2In3Hg6
_chemical_formula_sum 'K4 In6 Hg12'
_cell_length_a 11.563
_cell_length_b 13.544
_cell_length_c 4.571
_cell_angle_alpha 90.00
_cell_angle_beta 90.00
_cell_angle_gamma 90.00
_space_group_name_H-M_alt 'C m m m'
_space_group_IT_number 65
_space_group_name_Hall '-C 2 2'
loop_
_atom_site_label
_atom_site_type_symbol
_atom_site_fract_x
_atom_site_fract_y
_atom_site_fract_z
K1 K 0.000 0.198 0.000
In1 In 0.000 0.500 0.500
In2 In 0.191 0.500 0.000
Hg1 Hg 0.124 0.000 0.500
Hg2 Hg 0.182 0.338 0.500
```



# 4
This entry pairs a crystal structure of K2In6Hg9 with its simulated PXRD pattern. Radiation: copper Kα. Structure: a crystal structure in Alexandria, relaxed with GGA-PBE.
Intensities are scaled so that the largest is 100.

Main lines, sorted by position (10 to 90 degrees two-theta):
- 5.589 Å, 2θ 15.9, rel. 66.7
- 5.067 Å, 2θ 17.5, rel. 23.2
- 2.794 Å, 2θ 32.0, rel. 39.2
- 2.722 Å, 2θ 32.9, rel. 59.6
- 2.534 Å, 2θ 35.4, rel. 28.3
- 2.447 Å, 2θ 36.7, rel. 100.0
- 1.877 Å, 2θ 48.5, rel. 25.0
- 1.613 Å, 2θ 57.1, rel. 21.6
- 1.445 Å, 2θ 64.5, rel. 19.8
- 1.361 Å, 2θ 69.0, rel. 24.4

```
data_K2In6Hg9
_chemical_formula_sum 'K2 In6 Hg9'
_cell_length_a 6.4531
_cell_length_b 6.4531
_cell_length_c 15.2012
_cell_angle_alpha 90.00
_cell_angle_beta 90.00
_cell_angle_gamma 120.00
_space_group_name_H-M_alt 'P 6/m m m'
_space_group_IT_number 191
_space_group_name_Hall '-P 6 2'
loop_
_atom_site_label
_atom_site_type_symbol
_atom_site_fract_x
_atom_site_fract_y
_atom_site_fract_z
K1 K 0.0000 0.0000 0.1761
In1 In 0.3333 0.6667 0.1659
In2 In 0.3333 0.6667 0.5000
Hg1 Hg 0.0000 0.5000 0.0000
Hg2 Hg 0.0000 0.5000 0.3352
```